Record 1
Structure and simulated XRD peak list of Tm6Ga2Ag (a crystal structure in Alexandria, relaxed with PBE; Cu Kα, 1.54184 Å).
Intensities are scaled so that the largest is 1000.

Peak list (10 most intense, 2θ from 5° to 70°, low angle first)
- 27.80°, I 185, (1 0 3)
- 29.65°, I 338, (1 3 0)
- 31.88°, I 1000, (2 2 2)
- 33.65°, I 422, (1 2 3)
- 34.75°, I 475, (3 1 2)
- 35.08°, I 284, (0 0 4)
- 35.26°, I 436, (3 2 1)
- 37.67°, I 383, (0 4 0)
- 40.07°, I 152, (2 0 4)
- 59.42°, I 243, (3 5 2)

Structural model:
Cell lengths 9.442, 9.549, 10.237 Å; angles 90.00, 90.00, 90.00 degrees
Space group Immm (No. 71)
One atom of each set of equivalent atoms:
Tm 0.000 0.205 0.176
Tm 0.181 0.226 0.500
Tm 0.196 0.500 0.251
Ga 0.000 0.000 0.377
Ga 0.146 0.000 0.000
Ag 0.000 0.500 0.000
Ag 0.000 0.500 0.500

---

Record 2
Structure and simulated XRD peak list of PmCoSbH (a crystal structure in Alexandria, relaxed with PBE; Cu Kα, 1.54184 Å).
Intensities are scaled so that the largest is 1000.

Peak list (10 most intense, 2θ from 5° to 70°, low angle first)
- 20.55°, I 14, (0 0 1)
- 23.92°, I 91, (1 0 0)
- 31.73°, I 1000, (0 1 1)
- 41.80°, I 120, (0 0 2)
- 42.06°, I 426, (1 1 0)
- 48.73°, I 74, (1 0 2)
- 48.96°, I 14, (2 0 0)
- 53.63°, I 224, (2 0 1)
- 60.80°, I 233, (1 1 2)
- 66.29°, I 29, (0 2 2)

Structural model:
Cell lengths 4.2965, 4.2965, 4.3220 Å; angles 90.00, 90.00, 120.00 degrees
Space group P3m1 (No. 156)
One atom of each set of equivalent atoms:
Pm 0.0000 0.0000 0.0000
Co 0.6667 0.3333 0.5866
Sb 0.3333 0.6667 0.4973
H 0.6667 0.3333 0.9498

---

Record 3
Structure and simulated XRD peak list of Cs2FeCl5 (a crystal structure in Alexandria, relaxed with PBE; Cu Kα, 1.54184 Å).
Intensities are scaled so that the largest is 1000.

Peak list (10 most intense, 2θ from 5° to 70°, low angle first)
- 16.34°, I 224, (2 1 -1)
- 19.01°, I 827, (2 0 -2)
- 19.25°, I 737, (0 2 1)
- 21.38°, I 614, (3 0 0)
- 21.65°, I 798, (1 2 1)
- 21.97°, I 299, (2 2 -1)
- 22.08°, I 365, (1 0 2)
- 27.88°, I 317, (2 1 -3)
- 31.34°, I 1000, (1 2 -3)
- 34.91°, I 232, (5 1 -1)

Structural model:
Cell lengths 13.304, 10.516, 10.231 Å; angles 90.00, 110.45, 90.00 degrees
Space group P2_1/c (No. 14)
One atom of each set of equivalent atoms:
Cs 0.015 0.115 0.219
Cs 0.378 0.159 0.085
Fe 0.305 0.582 0.052
Cl 0.115 0.146 0.954
Cl 0.136 0.628 0.015
Cl 0.314 0.041 0.380
Cl 0.373 0.027 0.750
Cl 0.400 0.743 0.567

---

Record 4
Structure and simulated XRD peak list of MnBe6Ir (a crystal structure in Alexandria, relaxed with PBE; Cu Kα, 1.54184 Å).
Intensities are scaled so that the largest is 1000.

Peak list (9 most intense, 2θ from 5° to 70°, low angle first)
- 20.73°, I 371, (1 0 0)
- 29.49°, I 1000, (1 1 0)
- 36.32°, I 125, (1 1 1)
- 42.19°, I 231, (2 0 0)
- 47.46°, I 190, (2 0 1)
- 52.31°, I 490, (2 1 1)
- 61.19°, I 126, (2 2 0)
- 65.35°, I 93, (3 0 0)
- 69.37°, I 172, (3 1 0)

Structural model:
Cell lengths 4.284, 4.284, 4.284 Å; angles 90.00, 90.00, 90.00 degrees
Space group Pm-3 (No. 200)
One atom of each set of equivalent atoms:
Mn 0.000 0.000 0.000
Be 0.000 0.250 0.500
Ir 0.500 0.500 0.500

---

Record 5
Structure and simulated XRD peak list of Dy2TiS6 (a crystal structure in Alexandria, relaxed with PBE; Cu Kα, 1.54184 Å).
Intensities are scaled so that the largest is 1000.

Peak list (10 most intense, 2θ from 5° to 70°, low angle first)
- 18.67°, I 599, (1 1 -1)
- 20.77°, I 805, (1 1 0)
- 21.64°, I 443, (0 0 2)
- 22.41°, I 803, (1 1 -2)
- 27.51°, I 1000, (0 2 1)
- 29.96°, I 503, (1 1 -3)
- 38.51°, I 387, (2 2 -1)
- 40.41°, I 423, (2 2 -3)
- 40.88°, I 476, (1 3 -1)
- 41.78°, I 470, (0 2 3)

Structural model:
Cell lengths 6.481, 7.050, 9.891 Å; angles 90.00, 123.86, 90.00 degrees
Space group P2_1/c (No. 14)
One atom of each set of equivalent atoms:
Dy 0.203 0.128 0.231
Ti 0.500 0.000 0.000
S 0.119 0.163 0.926
S 0.296 0.688 0.964
S 0.371 0.008 0.722

---

Record 6
Structure and simulated XRD peak list of Ac4Tl3O (a crystal structure in Alexandria, relaxed with PBE; Cu Kα, 1.54184 Å).
Intensities are scaled so that the largest is 1000.

Peak list (10 most intense, 2θ from 5° to 70°, low angle first)
- 22.65°, I 1000, (2 1 0)
- 25.66°, I 302, (0 3 0)
- 26.00°, I 894, (0 0 2)
- 26.16°, I 364, (2 1 1)
- 27.77°, I 362, (1 3 0)
- 30.73°, I 511, (1 3 1)
- 33.36°, I 313, (2 3 0)
- 34.75°, I 403, (2 1 2)
- 36.87°, I 308, (0 3 2)
- 42.78°, I 381, (2 3 2)

Structural model:
Cell lengths 8.476, 10.416, 6.855 Å; angles 90.00, 90.00, 90.00 degrees
Space group Pmn2_1 (No. 31)
One atom of each set of equivalent atoms:
Ac 0.000 0.040 0.000
Ac 0.000 0.797 0.402
Ac 0.234 0.680 0.907
Tl 0.000 0.100 0.531
Tl 0.171 0.360 0.903
O 0.000 0.793 0.037

---

Record 7
Structure and simulated XRD peak list of Tb3Cu6Sn5 (a crystal structure in Alexandria, relaxed with PBE; Cu Kα, 1.54184 Å).
Intensities are scaled so that the largest is 1000.

Peak list (10 most intense, 2θ from 5° to 70°, low angle first)
- 29.32°, I 747, (1 0 3)
- 33.25°, I 289, (0 2 4)
- 34.05°, I 739, (1 3 0)
- 34.25°, I 602, (0 3 3)
- 34.54°, I 1000, (1 2 3)
- 36.90°, I 467, (1 3 2)
- 41.61°, I 655, (2 0 0)
- 42.27°, I 357, (0 0 6)
- 54.95°, I 317, (2 3 3)
- 63.98°, I 389, (1 6 3)

Structural model:
Cell lengths 4.341, 9.936, 12.828 Å; angles 90.00, 90.00, 90.00 degrees
Space group Immm (No. 71)
One atom of each set of equivalent atoms:
Tb 0.000 0.000 0.000
Tb 0.000 0.000 0.311
Cu 0.000 0.191 0.500
Cu 0.000 0.285 0.127
Sn 0.000 0.352 0.336
Sn 0.000 0.500 0.000

---

Record 8
Structure and simulated XRD peak list of Ca8Pt3Au2 (a crystal structure in Alexandria, relaxed with PBE; Cu Kα, 1.54184 Å).
Intensities are scaled so that the largest is 1000.

Peak list (10 most intense, 2θ from 5° to 70°, low angle first)
- 10.77°, I 219, (1 0 0)
- 21.63°, I 473, (2 0 0)
- 21.70°, I 470, (1 1 -1)
- 24.88°, I 191, (2 0 -2)
- 25.16°, I 368, (1 1 1)
- 35.62°, I 672, (1 1 -3)
- 35.75°, I 1000, (2 0 2)
- 35.96°, I 330, (0 2 0)
- 51.64°, I 231, (2 2 2)
- 64.38°, I 234, (1 3 -3)

Structural model:
Cell lengths 8.725, 4.995, 8.758 Å; angles 90.00, 109.94, 90.00 degrees
Space group P2/m (No. 10)
One atom of each set of equivalent atoms:
Ca 0.119 0.000 0.381
Ca 0.133 0.500 0.871
Ca 0.372 0.500 0.634
Ca 0.381 0.000 0.118
Pt 0.247 0.000 0.747
Pt 0.500 0.500 0.000
Au 0.249 0.500 0.251